[1]
# SnHRh3
Simulated PXRD pattern, CuKα. Input: the GGA-PBE geometry in Alexandria.
Kinematic intensities with the Lorentz-polarization factor, no thermal factor.

Main lines, in order of rising 2θ (10 to 90 degrees two-theta):
- (2 0 0), 2θ = 36.55°, I 24
- (0 0 2), 2θ = 39.02°, I 27
- (2 0 1), 2θ = 41.62°, I 100
- (2 0 2), 2θ = 54.53°, I 15
- (2 2 0), 2θ = 65.80°, I 17
- (2 0 3), 2θ = 72.45°, I 19
- (4 0 0), 2θ = 77.69°, I 3
- (2 2 2), 2θ = 79.23°, I 20
- (4 0 1), 2θ = 80.94°, I 14
- (0 0 4), 2θ = 83.81°, I 3

Crystal structure
a = 5.6769 Å, b = 5.6769 Å, c = 4.6171 Å
α = 90.00°, β = 90.00°, γ = 120.00°
Space group P6_3mc (No. 186)
Unique sites:
Sn: 0.3333 0.6667 0.0000 [2 per cell]
H: 0.0000 0.0000 0.2514 [2 per cell]
Rh: 0.1667 0.3333 0.5000 [6 per cell]



[2]
# Tm4Ni2Rh
Simulated PXRD pattern, CuKα. Input: the GGA-PBE geometry in Alexandria.
Kinematic intensities with the Lorentz-polarization factor, no thermal factor.

Main lines, in order of rising 2θ (10 to 90 degrees two-theta):
- (2 2 0), 2θ = 29.40°, I 83
- (1 0 3), 2θ = 32.95°, I 100
- (3 2 1), 2θ = 39.22°, I 56
- (4 0 0), 2θ = 42.06°, I 25
- (3 3 2), 2θ = 49.76°, I 39
- (3 1 4), 2θ = 54.43°, I 43
- (5 2 1), 2θ = 58.85°, I 15
- (5 3 4), 2θ = 78.73°, I 24
- (3 3 6), 2θ = 82.44°, I 15
- (5 1 6), 2θ = 89.86°, I 18

Crystal structure
a = 8.592 Å, b = 8.592 Å, c = 8.601 Å
α = 90.00°, β = 90.00°, γ = 90.00°
Space group I4_1/amd (No. 141, origin choice 2)
Unique sites:
Tm: 0.000 0.057 0.196 [16 per cell]
Ni: 0.000 0.000 0.500 [8 per cell]
Rh: 0.000 0.250 0.875 [4 per cell]



[3]
# LiAlIn
Simulated PXRD pattern, CuKα. Input: the GGA-PBE geometry in Alexandria.
Kinematic intensities with the Lorentz-polarization factor, no thermal factor.

Main lines, in order of rising 2θ (10 to 90 degrees two-theta):
- (0 0 1), 2θ = 21.46°, I 55
- (1 1 0), 2θ = 22.04°, I 28
- (0 2 1), 2θ = 25.42°, I 16
- (1 3 0), 2θ = 29.31°, I 51
- (1 3 1), 2θ = 36.62°, I 100
- (0 6 0), 2θ = 41.18°, I 18
- (2 0 0), 2θ = 42.68°, I 16
- (0 0 2), 2θ = 43.73°, I 15
- (0 6 1), 2θ = 46.89°, I 14
- (1 3 2), 2θ = 53.52°, I 18

Crystal structure
a = 4.237 Å, b = 13.154 Å, c = 4.140 Å
α = 90.00°, β = 90.00°, γ = 90.00°
Space group Cmmm (No. 65)
Unique sites:
Li: 0.000 0.157 0.000 [4 per cell]
Al: 0.000 0.000 0.500 [2 per cell]
Al: 0.000 0.500 0.000 [2 per cell]
In: 0.000 0.336 0.500 [4 per cell]



[4]
# Ca5Ir
Simulated PXRD pattern, CuKα. Input: the GGA-PBE geometry in Alexandria.
Kinematic intensities with the Lorentz-polarization factor, no thermal factor.

Main lines, in order of rising 2θ (10 to 90 degrees two-theta):
- (0 2 0), 2θ = 11.29°, I 83
- (1 1 1), 2θ = 18.40°, I 100
- (1 3 1), 2θ = 24.47°, I 23
- (0 2 2), 2θ = 28.77°, I 17
- (1 2 2), 2θ = 31.09°, I 20
- (2 4 0), 2θ = 32.71°, I 20
- (1 5 1), 2θ = 33.62°, I 34
- (2 2 2), 2θ = 37.30°, I 19
- (3 1 1), 2θ = 38.13°, I 26
- (1 3 3), 2θ = 45.40°, I 16

Crystal structure
a = 7.656 Å, b = 15.669 Å, c = 6.762 Å
α = 90.00°, β = 90.00°, γ = 90.00°
Space group Pnma (No. 62)
Unique sites:
Ca: 0.034 0.144 0.175 [8 per cell]
Ca: 0.095 0.750 0.349 [4 per cell]
Ca: 0.192 0.066 0.642 [8 per cell]
Ir: 0.239 0.250 0.464 [4 per cell]



[5]
# LaZn4Ir
Simulated PXRD pattern, CuKα. Input: the GGA-PBE geometry in Alexandria.
Kinematic intensities with the Lorentz-polarization factor, no thermal factor.

Main lines, in order of rising 2θ (10 to 90 degrees two-theta):
- (0 0 1), 2θ = 16.23°, I 52
- (1 1 0), 2θ = 19.50°, I 53
- (0 2 0), 2θ = 20.63°, I 75
- (0 0 2), 2θ = 32.79°, I 24
- (1 1 -2), 2θ = 38.25°, I 64
- (1 1 2), 2θ = 38.63°, I 62
- (2 2 0), 2θ = 39.59°, I 100
- (0 4 0), 2θ = 41.96°, I 42
- (1 3 -2), 2θ = 48.92°, I 32
- (1 3 2), 2θ = 49.23°, I 31

Crystal structure
a = 5.363 Å, b = 8.612 Å, c = 5.462 Å
α = 90.00°, β = 90.73°, γ = 90.00°
Space group C2/m (No. 12)
Unique sites:
La: 0.000 0.000 0.000 [2 per cell]
Zn: 0.004 0.500 0.262 [4 per cell]
Zn: 0.250 0.250 0.500 [4 per cell]
Ir: 0.000 0.000 0.500 [2 per cell]



[6]
# Ac4Pm3Ho
Simulated PXRD pattern, CuKα. Input: the GGA-PBE geometry in Alexandria.
Kinematic intensities with the Lorentz-polarization factor, no thermal factor.

Main lines, in order of rising 2θ (10 to 90 degrees two-theta):
- (1 2 2), 2θ = 28.71°, I 100
- (2 0 0), 2θ = 33.07°, I 36
- (0 0 4), 2θ = 33.69°, I 15
- (2 4 0), 2θ = 47.46°, I 13
- (2 0 4), 2θ = 47.92°, I 23
- (3 2 2), 2θ = 56.42°, I 31
- (1 2 6), 2θ = 57.23°, I 12
- (2 4 4), 2θ = 59.46°, I 12
- (3 2 6), 2θ = 77.45°, I 10
- (4 4 4), 2θ = 88.72°, I 8

Crystal structure
a = 5.420 Å, b = 10.833 Å, c = 10.643 Å
α = 90.00°, β = 90.00°, γ = 90.00°
Space group Pmmn (No. 59, origin choice 2)
Unique sites:
Ac: 0.250 0.001 0.138 [4 per cell]
Ac: 0.250 0.250 0.863 [2 per cell]
Ac: 0.250 0.750 0.862 [2 per cell]
Pm: 0.250 0.000 0.612 [4 per cell]
Pm: 0.250 0.750 0.389 [2 per cell]
Ho: 0.250 0.250 0.388 [2 per cell]



[7]
# PuBi4S8
Simulated PXRD pattern, CuKα. Input: the GGA-PBE geometry in Alexandria.
Kinematic intensities with the Lorentz-polarization factor, no thermal factor.

Main lines, in order of rising 2θ (10 to 90 degrees two-theta):
- (0 0 3), 2θ = 13.41°, I 48
- (1 0 1), 2θ = 13.57°, I 24
- (0 2 1), 2θ = 26.17°, I 41
- (2 0 2), 2θ = 27.34°, I 50
- (0 2 4), 2θ = 31.58°, I 100
- (2 0 8), 2θ = 45.04°, I 37
- (2 2 0), 2θ = 45.48°, I 36
- (2 2 6), 2θ = 53.69°, I 18
- (4 0 4), 2θ = 56.42°, I 19
- (2 2 12), 2θ = 74.63°, I 17

Crystal structure
a = 7.9775 Å, b = 7.9775 Å, c = 19.8119 Å
α = 90.00°, β = 90.00°, γ = 120.00°
Space group R-3m (No. 166, hexagonal axes)
Unique sites:
Pu: 0.0000 0.0000 0.0000 [3 per cell]
Bi: 0.0000 0.0000 0.5000 [3 per cell]
Bi: 0.0000 0.5000 0.5000 [9 per cell]
S: 0.0000 0.0000 0.2462 [6 per cell]
S: 0.0084 0.5042 0.7485 [18 per cell]



[8]
# Ag6Pt5
Simulated PXRD pattern, CuKα. Input: the GGA-PBE geometry in Alexandria.
Kinematic intensities with the Lorentz-polarization factor, no thermal factor.

Main lines, in order of rising 2θ (10 to 90 degrees two-theta):
- (-2 1 1), 2θ = 38.33°, I 100
- (1 -1 2), 2θ = 38.43°, I 50
- (0 2 1), 2θ = 38.58°, I 50
- (2 1 0), 2θ = 44.44°, I 33
- (1 -3 1), 2θ = 44.77°, I 65
- (3 -2 1), 2θ = 64.83°, I 11
- (1 1 3), 2θ = 65.11°, I 21
- (2 3 1), 2θ = 78.04°, I 18
- (3 -4 0), 2θ = 78.27°, I 24
- (-1 2 4), 2θ = 78.49°, I 12

Crystal structure
a = 4.997 Å, b = 6.394 Å, c = 6.411 Å
α = 107.64°, β = 105.10°, γ = 97.14°
Space group P1 (No. 1)
Unique sites:
Ag: 0.000 0.000 0.000 [1 per cell]
Ag: 0.088 0.818 0.363 [1 per cell]
Ag: 0.175 0.639 0.727 [1 per cell]
Ag: 0.265 0.454 0.092 [1 per cell]
Ag: 0.543 0.911 0.180 [1 per cell]
Ag: 0.910 0.180 0.629 [1 per cell]
Pt: 0.362 0.281 0.456 [1 per cell]
Pt: 0.468 0.096 0.810 [1 per cell]
Pt: 0.630 0.722 0.554 [1 per cell]
Pt: 0.715 0.536 0.906 [1 per cell]
Pt: 0.801 0.366 0.266 [1 per cell]



[9]
# Rb3TbF7
Simulated PXRD pattern, CuKα. Input: the GGA-PBE geometry in Alexandria.
Kinematic intensities with the Lorentz-polarization factor, no thermal factor.

Main lines, in order of rising 2θ (10 to 90 degrees two-theta):
- (1 1 0), 2θ = 15.34°, I 37
- (2 0 0), 2θ = 24.32°, I 48
- (0 2 1), 2θ = 24.95°, I 100
- (2 0 -2), 2θ = 26.01°, I 51
- (2 2 -1), 2θ = 27.01°, I 58
- (0 4 0), 2θ = 38.27°, I 22
- (4 0 -2), 2θ = 38.88°, I 23
- (2 2 1), 2θ = 41.85°, I 36
- (2 2 -3), 2θ = 43.96°, I 21
- (4 2 -1), 2θ = 45.81°, I 37

Crystal structure
a = 9.285 Å, b = 9.408 Å, c = 6.947 Å
α = 90.00°, β = 127.98°, γ = 90.00°
Space group Cm (No. 8)
Unique sites:
Rb: 0.000 0.000 0.000 [2 per cell]
Rb: 0.494 0.226 0.545 [4 per cell]
Tb: 0.040 0.500 0.094 [2 per cell]
F: 0.104 0.270 0.219 [4 per cell]
F: 0.175 0.500 0.922 [2 per cell]
F: 0.311 0.500 0.477 [2 per cell]
F: 0.340 0.152 0.790 [4 per cell]
F: 0.374 0.000 0.221 [2 per cell]



[10]
# La3Pr6Dy2
Simulated PXRD pattern, CuKα. Input: the GGA-PBE geometry in Alexandria.
Kinematic intensities with the Lorentz-polarization factor, no thermal factor.

Main lines, in order of rising 2θ (10 to 90 degrees two-theta):
- (0 1 3), 2θ = 29.51°, I 50
- (1 2 0), 2θ = 29.62°, I 100
- (2 0 -1), 2θ = 29.76°, I 49
- (1 1 -3), 2θ = 34.32°, I 34
- (2 1 2), 2θ = 34.35°, I 68
- (0 3 -2), 2θ = 49.35°, I 24
- (3 2 -1), 2θ = 49.52°, I 24
- (0 4 1), 2θ = 58.51°, I 29
- (3 3 2), 2θ = 58.62°, I 22
- (4 1 1), 2θ = 58.83°, I 14

Crystal structure
a = 6.369 Å, b = 6.405 Å, c = 9.807 Å
α = 83.58°, β = 89.84°, γ = 80.32°
Space group P-1 (No. 2)
Unique sites:
La: 0.000 0.000 0.000 [1 per cell]
La: 0.183 0.911 0.362 [2 per cell]
Pr: 0.092 0.457 0.179 [2 per cell]
Pr: 0.273 0.364 0.548 [2 per cell]
Pr: 0.364 0.815 0.732 [2 per cell]
Dy: 0.454 0.272 0.911 [2 per cell]



[11]
# Ba5Bi2SbAs
Simulated PXRD pattern, CuKα. Input: the GGA-PBE geometry in Alexandria.
Kinematic intensities with the Lorentz-polarization factor, no thermal factor.

Main lines, in order of rising 2θ (10 to 90 degrees two-theta):
- (0 1 1), 2θ = 11.65°, I 31
- (1 1 0), 2θ = 18.60°, I 39
- (1 1 2), 2θ = 21.17°, I 68
- (1 2 1), 2θ = 26.67°, I 100
- (0 1 5), 2θ = 27.41°, I 29
- (0 2 4), 2θ = 29.34°, I 79
- (1 0 5), 2θ = 29.65°, I 59
- (0 0 6), 2θ = 30.36°, I 83
- (2 0 0), 2θ = 30.88°, I 65
- (2 2 4), 2θ = 43.11°, I 55

Crystal structure
a = 5.792 Å, b = 8.413 Å, c = 17.641 Å
α = 90.00°, β = 90.00°, γ = 90.00°
Space group Immm (No. 71)
Unique sites:
Ba: 0.000 0.000 0.000 [2 per cell]
Ba: 0.000 0.239 0.364 [8 per cell]
Bi: 0.000 0.000 0.197 [4 per cell]
Sb: 0.000 0.500 0.000 [2 per cell]
As: 0.000 0.500 0.500 [2 per cell]



[12]
# Tm8Co2Ir
Simulated PXRD pattern, CuKα. Input: the GGA-PBE geometry in Alexandria.
Kinematic intensities with the Lorentz-polarization factor, no thermal factor.

Main lines, in order of rising 2θ (10 to 90 degrees two-theta):
- (2 2 -1), 2θ = 27.95°, I 36
- (1 3 1), 2θ = 31.68°, I 54
- (1 1 -2), 2θ = 31.78°, I 59
- (2 0 1), 2θ = 32.38°, I 84
- (0 4 1), 2θ = 33.58°, I 100
- (3 1 -1), 2θ = 34.51°, I 76
- (0 2 2), 2θ = 35.81°, I 45
- (2 2 -2), 2θ = 36.78°, I 36
- (2 4 0), 2θ = 37.67°, I 58
- (1 5 -1), 2θ = 40.64°, I 50

Crystal structure
a = 8.079 Å, b = 12.206 Å, c = 5.794 Å
α = 90.00°, β = 108.31°, γ = 90.00°
Space group Cm (No. 8)
Unique sites:
Tm: 0.000 0.000 0.000 [2 per cell]
Tm: 0.064 0.369 0.784 [4 per cell]
Tm: 0.151 0.131 0.596 [4 per cell]
Tm: 0.223 0.500 0.370 [2 per cell]
Tm: 0.361 0.217 0.185 [4 per cell]
Co: 0.357 0.311 0.684 [4 per cell]
Ir: 0.365 0.000 0.028 [2 per cell]



[13]
# Sc6CoPd5
Simulated PXRD pattern, CuKα. Input: the GGA-PBE geometry in Alexandria.
Kinematic intensities with the Lorentz-polarization factor, no thermal factor.

Main lines, in order of rising 2θ (10 to 90 degrees two-theta):
- (1 0 1), 2θ = 26.85°, I 19
- (1 0 -2), 2θ = 27.21°, I 19
- (0 2 0), 2θ = 27.48°, I 18
- (2 0 -1), 2θ = 38.60°, I 100
- (1 2 1), 2θ = 38.80°, I 99
- (1 2 -2), 2θ = 39.06°, I 97
- (0 2 3), 2θ = 48.04°, I 17
- (2 0 2), 2θ = 55.34°, I 17
- (3 2 0), 2θ = 69.75°, I 16
- (2 4 -1), 2θ = 70.72°, I 31

Crystal structure
a = 4.671 Å, b = 6.491 Å, c = 7.341 Å
α = 90.00°, β = 107.81°, γ = 90.00°
Space group P2/m (No. 10)
Unique sites:
Sc: 0.000 0.242 0.000 [2 per cell]
Sc: 0.339 0.246 0.677 [4 per cell]
Co: 0.500 0.000 0.000 [1 per cell]
Pd: 0.166 0.000 0.336 [2 per cell]
Pd: 0.168 0.500 0.338 [2 per cell]
Pd: 0.500 0.500 0.000 [1 per cell]